1.
Diffraction record for Na2ErPWO8. The powder XRD pattern is theoretical, not measured: it uses a structure optimized by DFT (GGA+U) and Cu Kα.
No peak broadening, texture or thermal motion is included.

```
data_Na2ErPWO8
_chemical_formula_sum 'Na16 Er8 P8 W8 O64'
_cell_length_a 6.904
_cell_length_b 12.195
_cell_length_c 18.260
_cell_angle_alpha 90.00
_cell_angle_beta 90.00
_cell_angle_gamma 90.00
_symmetry_space_group_name_H-M 'I b c a'
_symmetry_Int_Tables_number 73
_symmetry_space_group_name_Hall '-I 2b 2c'
loop_
_atom_site_label
_atom_site_type_symbol
_atom_site_fract_x
_atom_site_fract_y
_atom_site_fract_z
Na1 Na 0.010 0.061 0.153
Er1 Er 0.250 0.177 0.500
P1 P 0.250 0.070 0.000
W1 W 0.000 0.250 0.323
O1 O 0.044 0.130 0.768
O2 O 0.075 0.149 0.008
O3 O 0.212 0.224 0.380
O4 O 0.235 0.007 0.568
```

Most intense lines, 10° ≤ 2θ ≤ 80°, in order of falling intensity:
d_spacing	two_theta	intensity	hkl
3.229	27.63	100	2 0 2
6.098	14.53	97	0 2 0
5.019	17.67	86	1 1 2
3.635	24.49	66	1 1 4
2.756	32.49	59	2 0 4
3.271	27.27	58	1 3 2

2.
Diffraction record for Na3ErV2O8. The powder XRD pattern is theoretical, not measured: it uses a structure optimized by DFT (GGA+U) and Cu Kα.
No peak broadening, texture or thermal motion is included.

```
data_Na3ErV2O8
_chemical_formula_sum 'Na6 Er2 V4 O16'
_cell_length_a 5.575
_cell_length_b 9.848
_cell_length_c 8.923
_cell_angle_alpha 90.00
_cell_angle_beta 125.40
_cell_angle_gamma 90.00
_symmetry_space_group_name_H-M 'P 1 21/c 1'
_symmetry_Int_Tables_number 14
loop_
_symmetry_equiv_pos_as_xyz
'x,y,z'
'-x,-y,-z'
'-x,y+1/2,-z+1/2'
'x,-y+1/2,z+1/2'
loop_
_atom_site_label
_atom_site_type_symbol
_atom_site_fract_x
_atom_site_fract_y
_atom_site_fract_z
Na1 Na 0.000 0.000 0.000
Na2 Na 0.302 0.143 0.792
Er1 Er 0.500 0.000 0.500
V1 V 0.206 0.682 0.223
O1 O 0.140 0.131 0.468
O2 O 0.199 0.641 0.759
O3 O 0.268 0.598 0.408
O4 O 0.485 0.636 0.196
```

Most intense lines, 10° ≤ 2θ ≤ 80°, in order of falling intensity:
d_spacing	two_theta	intensity	hkl
5.851	15.14	100	0 1 1
2.828	31.64	77	1 3 -1
2.925	30.56	65	0 2 2
2.979	30.00	50	1 1 1
4.846	18.31	37	1 1 -1
2.783	32.16	35	2 0 -2

3.
Diffraction record for Nd3ErW6O24. The powder XRD pattern is theoretical, not measured: it uses a structure optimized by DFT (GGA+U) and Cu Kα.
No peak broadening, texture or thermal motion is included.

```
data_Nd3ErW6O24
_chemical_formula_sum 'Nd3 Er1 W6 O24'
_cell_length_a 7.039
_cell_length_b 7.052
_cell_length_c 11.643
_cell_angle_alpha 101.05
_cell_angle_beta 100.71
_cell_angle_gamma 112.03
_symmetry_space_group_name_H-M 'P 1'
_symmetry_Int_Tables_number 1
loop_
_symmetry_equiv_pos_as_xyz
'x,y,z'
loop_
_atom_site_label
_atom_site_type_symbol
_atom_site_fract_x
_atom_site_fract_y
_atom_site_fract_z
Nd1 Nd 0.000 0.000 0.000
Nd2 Nd 0.082 0.578 0.190
Nd3 Nd 0.330 0.329 0.688
Er1 Er 0.755 0.246 0.502
W1 W 0.172 0.160 0.348
W2 W 0.291 0.748 0.545
W3 W 0.502 0.540 0.045
W4 W 0.583 0.041 0.148
W5 W 0.790 0.827 0.641
W6 W 0.910 0.419 0.843
O1 O 0.120 0.473 0.553
O2 O 0.121 0.954 0.206
O3 O 0.141 0.747 0.399
O4 O 0.168 0.498 0.816
O5 O 0.228 0.376 0.054
O6 O 0.251 0.414 0.317
O7 O 0.271 0.951 0.654
O8 O 0.380 0.059 0.040
O9 O 0.386 0.210 0.484
O10 O 0.446 0.765 0.173
O11 O 0.499 0.389 0.898
O12 O 0.515 0.691 0.668
O13 O 0.567 0.892 0.519
O14 O 0.595 0.190 0.299
O15 O 0.637 0.815 0.019
O16 O 0.705 0.521 0.154
O17 O 0.708 0.365 0.698
O18 O 0.805 0.616 0.535
O19 O 0.833 0.166 0.874
O20 O 0.856 0.203 0.137
O21 O 0.918 0.088 0.380
O22 O 0.939 0.834 0.789
O23 O 0.952 0.104 0.632
O24 O 0.960 0.626 0.984
```

Most intense lines, 10° ≤ 2θ ≤ 80°, in order of falling intensity:
d_spacing	two_theta	intensity	hkl
3.266	27.31	100	2 0 -1
3.097	28.82	71	-1 1 3
2.678	33.46	33	1 1 -4
1.975	45.94	32	-1 3 2
2.921	30.61	27	2 -2 0
1.970	46.09	26	2 2 -2

4.
Diffraction record for ErNiO3. The powder XRD pattern is theoretical, not measured: it uses a structure optimized by DFT (GGA+U) and Cu Kα.
No peak broadening, texture or thermal motion is included.

```
data_ErNiO3
_chemical_formula_sum 'Er4 Ni4 O12'
_cell_length_a 5.181
_cell_length_b 5.559
_cell_length_c 9.052
_cell_angle_alpha 90.00
_cell_angle_beta 124.87
_cell_angle_gamma 90.00
_symmetry_space_group_name_H-M 'P 1 21/c 1'
_symmetry_Int_Tables_number 14
loop_
_symmetry_equiv_pos_as_xyz
'x,y,z'
'-x,-y,-z'
'-x,y+1/2,-z+1/2'
'x,-y+1/2,z+1/2'
loop_
_atom_site_label
_atom_site_type_symbol
_atom_site_fract_x
_atom_site_fract_y
_atom_site_fract_z
Er1 Er 0.231 0.076 0.251
Ni1 Ni 0.000 0.000 0.500
Ni2 Ni 0.500 0.000 0.000
O1 O 0.130 0.202 0.943
O2 O 0.251 0.689 0.948
O3 O 0.353 0.035 0.745
```

Most intense lines, 10° ≤ 2θ ≤ 80°, in order of falling intensity:
d_spacing	two_theta	intensity	hkl
2.652	33.79	100	1 1 1
3.376	26.40	27	1 1 0
2.591	34.62	26	2 0 -2
1.508	61.47	22	2 0 2
1.699	53.98	20	1 3 -2
2.603	34.45	18	0 2 1

5.
Diffraction record for ErNiO3. The powder XRD pattern is theoretical, not measured: it uses a structure optimized by DFT (GGA+U) and Cu Kα.
No peak broadening, texture or thermal motion is included.

```
data_ErNiO3
_chemical_formula_sum 'Er4 Ni4 O12'
_cell_length_a 5.659
_cell_length_b 7.373
_cell_length_c 5.165
_cell_angle_alpha 90.00
_cell_angle_beta 90.00
_cell_angle_gamma 90.00
_symmetry_space_group_name_H-M 'P n m a'
_symmetry_Int_Tables_number 62
loop_
_symmetry_equiv_pos_as_xyz
'x,y,z'
'-x,-y,-z'
'-x+1/2,-y,z+1/2'
'x+1/2,y,-z+1/2'
'x+1/2,-y+1/2,-z+1/2'
'-x+1/2,y+1/2,z+1/2'
'-x,y+1/2,-z'
'x,-y+1/2,z'
loop_
_atom_site_label
_atom_site_type_symbol
_atom_site_fract_x
_atom_site_fract_y
_atom_site_fract_z
Er1 Er 0.084 0.250 0.024
Ni1 Ni 0.000 0.000 0.500
O1 O 0.035 0.750 0.388
O2 O 0.186 0.554 0.804
```

Most intense lines, 10° ≤ 2θ ≤ 80°, in order of falling intensity:
d_spacing	two_theta	intensity	hkl
2.651	33.81	100	1 2 1
3.388	26.30	35	1 1 1
1.845	49.39	34	0 4 0
2.582	34.74	26	0 0 2
2.642	33.93	23	2 1 0
1.723	53.16	22	3 1 1

6.
Diffraction record for Er2NiRuO6. The powder XRD pattern is theoretical, not measured: it uses a structure optimized by DFT (GGA+U) and Cu Kα.
No peak broadening, texture or thermal motion is included.

```
data_Er2NiRuO6
_chemical_formula_sum 'Er4 Ni2 Ru2 O12'
_cell_length_a 5.275
_cell_length_b 5.691
_cell_length_c 9.263
_cell_angle_alpha 90.00
_cell_angle_beta 124.23
_cell_angle_gamma 90.00
_symmetry_space_group_name_H-M 'P 1 21/c 1'
_symmetry_Int_Tables_number 14
loop_
_symmetry_equiv_pos_as_xyz
'x,y,z'
'-x,-y,-z'
'-x,y+1/2,-z+1/2'
'x,-y+1/2,z+1/2'
loop_
_atom_site_label
_atom_site_type_symbol
_atom_site_fract_x
_atom_site_fract_y
_atom_site_fract_z
Er1 Er 0.221 0.077 0.247
Ni1 Ni 0.000 0.000 0.500
Ru1 Ru 0.500 0.000 0.000
O1 O 0.129 0.188 0.941
O2 O 0.250 0.698 0.932
O3 O 0.382 0.050 0.753
```

Most intense lines, 10° ≤ 2θ ≤ 80°, in order of falling intensity:
d_spacing	two_theta	intensity	hkl
2.730	32.81	100	1 1 1
2.713	33.02	100	1 1 -3
2.637	33.99	47	2 0 -2
1.739	52.64	37	1 3 0
2.846	31.44	34	0 2 0
1.543	59.95	32	2 0 -6

7.
Diffraction record for Rb3ErV2O8. The powder XRD pattern is theoretical, not measured: it uses a structure optimized by DFT (GGA+U) and Cu Kα.
No peak broadening, texture or thermal motion is included.

```
data_Rb3ErV2O8
_chemical_formula_sum 'Rb3 Er1 V2 O8'
_cell_length_a 6.0688
_cell_length_b 6.0688
_cell_length_c 7.9299
_cell_angle_alpha 90.00
_cell_angle_beta 90.00
_cell_angle_gamma 120.00
_symmetry_space_group_name_H-M 'P -3 m 1'
_symmetry_Int_Tables_number 164
_symmetry_space_group_name_Hall '-P 3 2"'
loop_
_atom_site_label
_atom_site_type_symbol
_atom_site_fract_x
_atom_site_fract_y
_atom_site_fract_z
Rb1 Rb 0.0000 0.0000 0.0000
Rb2 Rb 0.3333 0.6667 0.6958
Er1 Er 0.0000 0.0000 0.5000
V1 V 0.3333 0.6667 0.2584
O1 O 0.1746 0.3493 0.3338
O2 O 0.3333 0.6667 0.0461
```

Most intense lines, 10° ≤ 2θ ≤ 80°, in order of falling intensity:
d_spacing	two_theta	intensity	hkl
3.165	28.19	100	0 1 2
3.034	29.44	98	1 1 0
2.190	41.21	48	2 0 2
1.776	51.45	36	1 2 2
7.930	11.16	29	0 0 1
1.660	55.36	19	1 1 4

8.
Diffraction record for ErTlW2O8. The powder XRD pattern is theoretical, not measured: it uses a structure optimized by DFT (GGA+U) and Cu Kα.
No peak broadening, texture or thermal motion is included.

```
data_ErTlW2O8
_chemical_formula_sum 'Er4 Tl4 W8 O32'
_cell_length_a 10.874
_cell_length_b 10.601
_cell_length_c 7.474
_cell_angle_alpha 90.00
_cell_angle_beta 130.15
_cell_angle_gamma 90.00
_symmetry_space_group_name_H-M 'C 1 2/c 1'
_symmetry_Int_Tables_number 15
loop_
_symmetry_equiv_pos_as_xyz
'x,y,z'
'-x,-y,-z'
'-x,y,-z+1/2'
'x,-y,z+1/2'
'x+1/2,y+1/2,z'
'-x+1/2,-y+1/2,-z'
'-x+1/2,y+1/2,-z+1/2'
'x+1/2,-y+1/2,z+1/2'
loop_
_atom_site_label
_atom_site_type_symbol
_atom_site_fract_x
_atom_site_fract_y
_atom_site_fract_z
Er1 Er 0.000 0.224 0.250
Tl1 Tl 0.000 0.203 0.750
W1 W 0.196 0.495 0.221
O1 O 0.021 0.390 0.465
O2 O 0.128 0.085 0.190
O3 O 0.189 0.430 0.943
O4 O 0.219 0.157 0.619
```

Most intense lines, 10° ≤ 2θ ≤ 80°, in order of falling intensity:
d_spacing	two_theta	intensity	hkl
3.051	29.27	100	2 2 -2
3.270	27.27	100	2 2 0
2.856	31.32	44	0 0 2
3.252	27.43	33	1 3 0
3.182	28.04	23	3 1 -2
2.703	33.15	23	4 0 -2

9.
Diffraction record for Er2V2O7. The powder XRD pattern is theoretical, not measured: it uses a structure optimized by DFT (GGA+U) and Cu Kα.
No peak broadening, texture or thermal motion is included.

abc: 10.061 10.061 10.061
angles: 90.00 90.00 90.00
Space group Fd-3m (No. 227, origin choice 2)
One atom of each set of equivalent atoms:
Er 0.000 0.000 0.000
V 0.000 0.000 0.500
O 0.083 0.375 0.875
O 0.125 0.125 0.125

Most intense lines, 10° ≤ 2θ ≤ 80°, in order of falling intensity:
d_spacing	two_theta	intensity	hkl
2.904	30.79	100	2 2 2
1.779	51.38	48	4 4 0
1.517	61.10	41	6 2 2
5.809	15.25	31	1 1 1
2.515	35.70	30	4 0 0
2.308	39.02	20	3 3 1